(1)
Simulated X-ray diffraction stick pattern of Ca5DyTi5FeSi6O30 for Cu Ka, from DFT lattice parameters and positions (PBE+U).
Lines closer than 0.1° are merged.

Peak list (8 most intense, 2θ = 15–90°, by angle)
| Position (°2θ) | I_rel | hkl |
| --- | --- | --- |
| 27.30 | 100 | 0 1 4 |
| 29.32 | 81 | 1 2 -2 |
| 33.98 | 75 | 2 1 2 |
| 34.33 | 26 | 1 -2 0 |
| 34.37 | 27 | 1 2 4 |
| 53.13 | 21 | 0 4 -2 |
| 55.04 | 30 | 3 3 0 |
| 61.59 | 22 | 1 3 8 |

Atomic structure:
a = 5.5111 Å, b = 7.5147 Å, c = 14.5081 Å
α = 86.85°, β = 85.18°, γ = 72.33°
Space group P1 (No. 1)
Unique sites:
Ca  0.0000  0.0000  0.0000 [1 per cell]
Ca  0.1244  0.2186  0.2791 [1 per cell]
Ca  0.3312  0.6696  0.3316 [1 per cell]
Ca  0.6651  0.3379  0.6713 [1 per cell]
Ca  0.7967  0.5461  0.9447 [1 per cell]
Dy  0.4578  0.8859  0.6144 [1 per cell]
Ti  0.0610  0.6112  0.1402 [1 per cell]
Ti  0.3914  0.2859  0.4748 [1 per cell]
Ti  0.3955  0.2751  0.9724 [1 per cell]
Ti  0.7231  0.9484  0.3068 [1 per cell]
Ti  0.7355  0.9367  0.8071 [1 per cell]
Fe  0.0627  0.6074  0.6414 [1 per cell]
Si  0.1358  0.2133  0.7827 [1 per cell]
Si  0.3262  0.6706  0.8298 [1 per cell]
Si  0.4702  0.8822  0.1160 [1 per cell]
Si  0.6545  0.3372  0.1624 [1 per cell]
Si  0.7961  0.5542  0.4510 [1 per cell]
Si  0.9918  0.9990  0.4965 [1 per cell]
O  0.0029  0.9822  0.3830 [1 per cell]
O  0.0266  0.7600  0.8715 [1 per cell]
O  0.0966  0.4604  0.4111 [1 per cell]
O  0.1274  0.2303  0.8963 [1 per cell]
O  0.1393  0.4657  0.0322 [1 per cell]
O  0.1457  0.7961  0.5441 [1 per cell]
O  0.1640  0.1286  0.5288 [1 per cell]
O  0.2945  0.7544  0.0870 [1 per cell]
O  0.3305  0.4108  0.5812 [1 per cell]
O  0.3345  0.0883  0.0676 [1 per cell]
O  0.3433  0.6624  0.7157 [1 per cell]
O  0.3574  0.4286  0.2055 [1 per cell]
O  0.4305  0.1157  0.7370 [1 per cell]
O  0.4543  0.9050  0.2293 [1 per cell]
O  0.4598  0.4607  0.8742 [1 per cell]
O  0.4676  0.1331  0.3664 [1 per cell]
O  0.4991  0.7967  0.8633 [1 per cell]
O  0.6292  0.4205  0.4203 [1 per cell]
O  0.6585  0.0894  0.9108 [1 per cell]
O  0.6603  0.7581  0.4011 [1 per cell]
O  0.6696  0.3155  0.0491 [1 per cell]
O  0.6911  0.0808  0.5388 [1 per cell]
O  0.7681  0.5847  0.5637 [1 per cell]
O  0.7677  0.7900  0.0737 [1 per cell]
O  0.7910  0.8046  0.6990 [1 per cell]
O  0.7920  0.1305  0.2105 [1 per cell]
O  0.8296  0.4647  0.1923 [1 per cell]
O  0.9645  0.0832  0.7516 [1 per cell]
O  0.9859  0.7526  0.2460 [1 per cell]
O  0.9963  0.4209  0.7385 [1 per cell]


(2)
Simulated X-ray diffraction stick pattern of SrCaDyFeO6 for Cu Ka, from DFT lattice parameters and positions (PBE+U).
Lines closer than 0.1° are merged.

Peak list (8 most intense, 2θ = 15–90°, by angle)
| Position (°2θ) | I_rel | hkl |
| --- | --- | --- |
| 19.00 | 21 | 1 1 1 |
| 21.98 | 19 | 2 0 0 |
| 31.28 | 100 | 2 2 0 |
| 36.86 | 17 | 3 1 1 |
| 44.82 | 35 | 4 0 0 |
| 55.67 | 38 | 4 2 2 |
| 65.25 | 20 | 4 4 0 |
| 74.14 | 17 | 6 2 0 |

Atomic structure:
a = 8.0885 Å, b = 8.0885 Å, c = 8.0885 Å
α = 90.00°, β = 90.00°, γ = 90.00°
Space group F-43m (No. 216)
Unique sites:
Sr  0.0000  0.0000  0.0000 [4 per cell]
Ca  0.0000  0.0000  0.5000 [4 per cell]
Dy  0.2500  0.2500  0.2500 [4 per cell]
Fe  0.2500  0.2500  0.7500 [4 per cell]
O  0.0188  0.2500  0.7500 [24 per cell]


(3)
Simulated X-ray diffraction stick pattern of CaDyMn4O12 for Cu Ka, from DFT lattice parameters and positions (PBE+U).
Lines closer than 0.1° are merged.

Peak list (8 most intense, 2θ = 15–90°, by angle)
| Position (°2θ) | I_rel | hkl |
| --- | --- | --- |
| 16.73 | 26 | 0 1 1 |
| 20.52 | 100 | 1 1 1 |
| 33.62 | 39 | 2 0 2 |
| 33.82 | 45 | 0 2 2 |
| 34.02 | 47 | 2 2 0 |
| 39.89 | 21 | 3 1 1 |
| 48.58 | 19 | 4 0 0 |
| 60.89 | 20 | 2 4 2 |

Atomic structure:
a = 7.4963 Å, b = 7.4107 Å, c = 7.5848 Å
α = 90.00°, β = 90.00°, γ = 90.00°
Space group Amm2 (No. 38)
Unique sites:
Ca  0.0000  0.0000  0.0000 [2 per cell]
Dy  0.5000  0.0000  0.4612 [2 per cell]
Mn  0.2479  0.2470  0.7333 [8 per cell]
O  0.0000  0.1949  0.7380 [4 per cell]
O  0.2128  0.0000  0.2844 [4 per cell]
O  0.2541  0.2048  0.9862 [8 per cell]
O  0.3035  0.0000  0.6878 [4 per cell]
O  0.5000  0.2038  0.2443 [4 per cell]


(4)
Simulated X-ray diffraction stick pattern of Ca2DyMnO6 for Cu Ka, from DFT lattice parameters and positions (PBE+U).
Lines closer than 0.1° are merged.

Peak list (8 most intense, 2θ = 15–90°, by angle)
| Position (°2θ) | I_rel | hkl |
| --- | --- | --- |
| 18.93 | 25 | 1 1 1 |
| 21.89 | 47 | 2 0 0 |
| 31.15 | 100 | 2 2 0 |
| 36.71 | 21 | 3 1 1 |
| 44.64 | 38 | 4 0 0 |
| 50.25 | 19 | 4 2 0 |
| 55.43 | 38 | 4 2 2 |
| 64.97 | 22 | 4 4 0 |

Atomic structure:
a = 8.1202 Å, b = 8.1202 Å, c = 8.1202 Å
α = 90.00°, β = 90.00°, γ = 90.00°
Space group Fm-3m (No. 225)
Unique sites:
Ca  0.2500  0.2500  0.2500 [8 per cell]
Dy  0.0000  0.0000  0.0000 [4 per cell]
Mn  0.0000  0.0000  0.5000 [4 per cell]
O  0.0000  0.0000  0.2676 [24 per cell]


(5)
Simulated X-ray diffraction stick pattern of CaDyMnSnO6 for Cu Ka, from DFT lattice parameters and positions (PBE+U).
Lines closer than 0.1° are merged.

Peak list (8 most intense, 2θ = 15–90°, by angle)
| Position (°2θ) | I_rel | hkl |
| --- | --- | --- |
| 22.21 | 20 | 2 0 0 |
| 31.61 | 100 | 2 2 0 |
| 38.97 | 24 | 2 2 2 |
| 45.31 | 33 | 4 0 0 |
| 51.02 | 11 | 4 2 0 |
| 56.30 | 39 | 4 2 2 |
| 66.01 | 20 | 4 4 0 |
| 75.04 | 18 | 6 2 0 |

Atomic structure:
a = 8.0059 Å, b = 8.0059 Å, c = 8.0059 Å
α = 90.00°, β = 90.00°, γ = 90.00°
Space group F-43m (No. 216)
Unique sites:
Ca  0.0000  0.0000  0.0000 [4 per cell]
Dy  0.2500  0.2500  0.7500 [4 per cell]
Mn  0.0000  0.0000  0.5000 [4 per cell]
Sn  0.2500  0.2500  0.2500 [4 per cell]
O  0.0000  0.0000  0.2679 [24 per cell]


(6)
Simulated X-ray diffraction stick pattern of CaDyMnSnO6 for Cu Ka, from DFT lattice parameters and positions (PBE+U).
Lines closer than 0.1° are merged.

Peak list (8 most intense, 2θ = 15–90°, by angle)
| Position (°2θ) | I_rel | hkl |
| --- | --- | --- |
| 19.09 | 46 | 0 1 1 |
| 30.68 | 41 | 0 2 0 |
| 32.22 | 100 | 1 1 1 |
| 32.39 | 95 | 1 1 -3 |
| 32.81 | 61 | 2 0 -2 |
| 45.52 | 39 | 2 2 -2 |
| 47.12 | 47 | 0 0 4 |
| 58.40 | 37 | 3 1 -5 |

Atomic structure:
a = 5.4611 Å, b = 5.8285 Å, c = 9.4202 Å
α = 90.00°, β = 125.05°, γ = 90.00°
Space group Pc (No. 7)
Unique sites:
Ca  0.0000  0.1914  0.0000 [2 per cell]
Dy  0.5376  0.3270  0.5040 [2 per cell]
Mn  0.2674  0.2461  0.7513 [2 per cell]
Sn  0.7654  0.2394  0.2510 [2 per cell]
O  0.1466  0.2078  0.5096 [2 per cell]
O  0.4010  0.2932  0.9922 [2 per cell]
O  0.5168  0.0722  0.3146 [2 per cell]
O  0.6079  0.4478  0.8023 [2 per cell]
O  0.9011  0.0704  0.6966 [2 per cell]
O  0.9973  0.4427  0.1929 [2 per cell]


(7)
Simulated X-ray diffraction stick pattern of CaDyMnSnO6 for Cu Ka, from DFT lattice parameters and positions (PBE+U).
Lines closer than 0.1° are merged.

Peak list (8 most intense, 2θ = 15–90°, by angle)
| Position (°2θ) | I_rel | hkl |
| --- | --- | --- |
| 18.95 | 26 | 1 1 1 |
| 31.19 | 100 | 2 2 0 |
| 36.75 | 19 | 3 1 1 |
| 44.69 | 34 | 4 0 0 |
| 48.95 | 10 | 3 3 1 |
| 55.50 | 39 | 4 2 2 |
| 65.05 | 20 | 4 4 0 |
| 73.90 | 18 | 6 2 0 |

Atomic structure:
a = 8.1112 Å, b = 8.1112 Å, c = 8.1112 Å
α = 90.00°, β = 90.00°, γ = 90.00°
Space group F-43m (No. 216)
Unique sites:
Ca  0.0000  0.0000  0.0000 [4 per cell]
Dy  0.2500  0.2500  0.7500 [4 per cell]
Mn  0.2500  0.2500  0.2500 [4 per cell]
Sn  0.0000  0.0000  0.5000 [4 per cell]
O  0.0181  0.2500  0.2500 [24 per cell]


(8)
Simulated X-ray diffraction stick pattern of CaDyMnSnO6 for Cu Ka, from DFT lattice parameters and positions (PBE+U).
Lines closer than 0.1° are merged.

Peak list (8 most intense, 2θ = 15–90°, by angle)
| Position (°2θ) | I_rel | hkl |
| --- | --- | --- |
| 20.69 | 32 | 0 0 2 |
| 22.49 | 24 | 1 -1 0 |
| 23.25 | 20 | 1 1 0 |
| 30.11 | 100 | -1 1 2 |
| 31.41 | 46 | 1 -1 2 |
| 32.43 | 69 | 1 1 2 |
| 32.75 | 35 | 2 0 0 |
| 42.10 | 20 | 0 0 4 |

Atomic structure:
a = 5.4891 Å, b = 5.5328 Å, c = 8.6146 Å
α = 91.14°, β = 94.61°, γ = 91.80°
Space group P-1 (No. 2)
Unique sites:
Ca  0.0000  0.0000  0.0000 [1 per cell]
Ca  0.5000  0.5000  0.5000 [1 per cell]
Dy  0.0235  0.5585  0.7259 [2 per cell]
Mn  0.0000  0.0000  0.5000 [1 per cell]
Mn  0.5000  0.5000  0.0000 [1 per cell]
Sn  0.4856  0.0527  0.7775 [2 per cell]
O  0.1453  0.3109  0.5447 [2 per cell]
O  0.1877  0.0988  0.2385 [2 per cell]
O  0.2369  0.2975  0.8904 [2 per cell]
O  0.2874  0.8483  0.6036 [2 per cell]
O  0.3316  0.7903  0.9248 [2 per cell]
O  0.3522  0.6096  0.2461 [2 per cell]


(9)
Simulated X-ray diffraction stick pattern of SrCaDyMnO6 for Cu Ka, from DFT lattice parameters and positions (PBE+U).
Lines closer than 0.1° are merged.

Peak list (8 most intense, 2θ = 15–90°, by angle)
| Position (°2θ) | I_rel | hkl |
| --- | --- | --- |
| 18.81 | 23 | 1 1 1 |
| 21.75 | 18 | 2 0 0 |
| 30.95 | 100 | 2 2 0 |
| 36.47 | 18 | 3 1 1 |
| 44.34 | 35 | 4 0 0 |
| 55.05 | 39 | 4 2 2 |
| 64.50 | 21 | 4 4 0 |
| 89.81 | 21 | 6 4 2 |

Atomic structure:
a = 8.1721 Å, b = 8.1721 Å, c = 8.1721 Å
α = 90.00°, β = 90.00°, γ = 90.00°
Space group F-43m (No. 216)
Unique sites:
Sr  0.0000  0.0000  0.0000 [4 per cell]
Ca  0.0000  0.0000  0.5000 [4 per cell]
Dy  0.2500  0.2500  0.2500 [4 per cell]
Mn  0.2500  0.2500  0.7500 [4 per cell]
O  0.0175  0.2500  0.7500 [24 per cell]


(10)
Simulated X-ray diffraction stick pattern of NaCaDyWO6 for Cu Ka, from DFT lattice parameters and positions (PBE+U).
Lines closer than 0.1° are merged.

Peak list (8 most intense, 2θ = 15–90°, by angle)
| Position (°2θ) | I_rel | hkl |
| --- | --- | --- |
| 21.42 | 81 | 2 0 0 |
| 30.47 | 100 | 2 2 0 |
| 43.64 | 33 | 4 0 0 |
| 49.11 | 35 | 4 2 0 |
| 54.16 | 40 | 4 2 2 |
| 63.42 | 20 | 4 4 0 |
| 71.98 | 18 | 6 2 0 |
| 88.11 | 22 | 6 4 2 |

Atomic structure:
a = 8.2966 Å, b = 8.2966 Å, c = 8.2966 Å
α = 90.00°, β = 90.00°, γ = 90.00°
Space group F-43m (No. 216)
Unique sites:
Na  0.0000  0.0000  0.0000 [4 per cell]
Ca  0.0000  0.0000  0.5000 [4 per cell]
Dy  0.2500  0.2500  0.2500 [4 per cell]
W  0.2500  0.2500  0.7500 [4 per cell]
O  0.0160  0.2500  0.7500 [24 per cell]


(11)
Simulated X-ray diffraction stick pattern of CaEuInFeO6 for Cu Ka, from DFT lattice parameters and positions (PBE+U).
Lines closer than 0.1° are merged.

Peak list (8 most intense, 2θ = 15–90°, by angle)
| Position (°2θ) | I_rel | hkl |
| --- | --- | --- |
| 19.23 | 27 | 1 1 1 |
| 31.66 | 100 | 2 2 0 |
| 37.31 | 18 | 3 1 1 |
| 45.38 | 34 | 4 0 0 |
| 49.72 | 9 | 3 3 1 |
| 56.39 | 38 | 4 2 2 |
| 66.13 | 20 | 4 4 0 |
| 75.17 | 16 | 6 2 0 |

Atomic structure:
a = 7.9937 Å, b = 7.9937 Å, c = 7.9937 Å
α = 90.00°, β = 90.00°, γ = 90.00°
Space group F-43m (No. 216)
Unique sites:
Ca  0.0000  0.0000  0.0000 [4 per cell]
Eu  0.0000  0.0000  0.5000 [4 per cell]
In  0.2500  0.2500  0.7500 [4 per cell]
Fe  0.2500  0.2500  0.2500 [4 per cell]
O  0.0116  0.2500  0.2500 [24 per cell]


(12)
Simulated X-ray diffraction stick pattern of KCaEuFeO6 for Cu Ka, from DFT lattice parameters and positions (PBE+U).
Lines closer than 0.1° are merged.

Peak list (8 most intense, 2θ = 15–90°, by angle)
| Position (°2θ) | I_rel | hkl |
| --- | --- | --- |
| 18.67 | 19 | 1 1 1 |
| 21.59 | 46 | 2 0 0 |
| 30.71 | 100 | 2 2 0 |
| 43.99 | 38 | 4 0 0 |
| 49.51 | 19 | 4 2 0 |
| 54.61 | 37 | 4 2 2 |
| 63.97 | 22 | 4 4 0 |
| 88.96 | 20 | 6 4 2 |

Atomic structure:
a = 8.2335 Å, b = 8.2335 Å, c = 8.2335 Å
α = 90.00°, β = 90.00°, γ = 90.00°
Space group F-43m (No. 216)
Unique sites:
K  0.0000  0.0000  0.0000 [4 per cell]
Ca  0.0000  0.0000  0.5000 [4 per cell]
Eu  0.2500  0.2500  0.2500 [4 per cell]
Fe  0.2500  0.2500  0.7500 [4 per cell]
O  0.0206  0.2500  0.7500 [24 per cell]